# 1
Diffraction record for TbTaPd. The PXRD pattern is computed, not measured: it uses DFT lattice parameters and positions (GGA-PBE) and Cu Kα.
Neutral-atom scattering factors, no anomalous dispersion.

Atomic structure:
a = 4.7073 Å, b = 4.7198 Å, c = 11.1482 Å
α = 90.00°, β = 90.00°, γ = 90.00°
Space group Cmmm (No. 65)
Symmetry-distinct sites (fractional):
Tb 0.0000 0.0000 0.1691 (multiplicity 4)
Ta 0.0000 0.5000 0.3636 (multiplicity 4)
Pd 0.0000 0.0000 0.5000 (multiplicity 2)
Pd 0.0000 0.5000 0.0000 (multiplicity 2)

Peak list (10 most intense, 2θ from 15° to 90°, by angle)
27.94 deg, 3.193 Å, rel. 8
36.20 deg, 2.481 Å, rel. 100
38.13 deg, 2.360 Å, rel. 25
38.24 deg, 2.354 Å, rel. 25
49.03 deg, 1.858 Å, rel. 7
55.11 deg, 1.666 Å, rel. 17
63.79 deg, 1.459 Å, rel. 13
67.66 deg, 1.385 Å, rel. 16
67.80 deg, 1.382 Å, rel. 16
76.84 deg, 1.241 Å, rel. 8

=====

# 2
Diffraction record for Cs3U2S9. The PXRD pattern is computed, not measured: it uses DFT lattice parameters and positions (GGA-PBE) and Cu Kα.
Neutral-atom scattering factors, no anomalous dispersion.

Atomic structure:
a = 7.5171 Å, b = 7.5171 Å, c = 9.5333 Å
α = 90.00°, β = 90.00°, γ = 120.00°
Space group P-3m1 (No. 164)
Symmetry-distinct sites (fractional):
Cs 0.0000 0.0000 0.0000 (multiplicity 1)
Cs 0.3333 0.6667 0.3577 (multiplicity 2)
U 0.3333 0.6667 0.8444 (multiplicity 2)
S 0.0000 0.5000 0.0000 (multiplicity 3)
S 0.1786 0.3572 0.6961 (multiplicity 6)

Peak list (10 most intense, 2θ from 15° to 90°, by angle)
16.49 deg, 5.376 Å, rel. 32
23.13 deg, 3.846 Å, rel. 100
23.67 deg, 3.759 Å, rel. 79
33.33 deg, 2.688 Å, rel. 79
40.30 deg, 2.238 Å, rel. 17
41.29 deg, 2.186 Å, rel. 46
41.62 deg, 2.170 Å, rel. 18
47.27 deg, 1.923 Å, rel. 23
48.44 deg, 1.879 Å, rel. 26
54.33 deg, 1.688 Å, rel. 21

=====

# 3
Diffraction record for Cu5HgO8. The PXRD pattern is computed, not measured: it uses DFT lattice parameters and positions (GGA-PBE) and Cu Kα.
Neutral-atom scattering factors, no anomalous dispersion.

Atomic structure:
a = 8.5617 Å, b = 8.5617 Å, c = 8.5617 Å
α = 90.00°, β = 90.00°, γ = 90.00°
Space group F-43m (No. 216)
Symmetry-distinct sites (fractional):
Cu 0.0000 0.0000 0.0000 (multiplicity 4)
Cu 0.1263 0.1263 0.6263 (multiplicity 16)
Hg 0.2500 0.2500 0.2500 (multiplicity 4)
O 0.1044 0.1044 0.3956 (multiplicity 16)
O 0.1357 0.1357 0.8643 (multiplicity 16)

Peak list (10 most intense, 2θ from 15° to 90°, by angle)
17.94 deg, 4.943 Å, rel. 12
20.75 deg, 4.281 Å, rel. 12
29.51 deg, 3.027 Å, rel. 51
34.75 deg, 2.581 Å, rel. 100
52.35 deg, 1.748 Å, rel. 19
55.79 deg, 1.648 Å, rel. 38
61.24 deg, 1.514 Å, rel. 33
72.38 deg, 1.306 Å, rel. 12
84.72 deg, 1.144 Å, rel. 11
87.52 deg, 1.115 Å, rel. 20

=====

# 4
Diffraction record for SmHg3Pd7. The PXRD pattern is computed, not measured: it uses DFT lattice parameters and positions (GGA-PBE) and Cu Kα.
Neutral-atom scattering factors, no anomalous dispersion.

Atomic structure:
a = 9.1056 Å, b = 9.5428 Å, c = 5.4531 Å
α = 90.00°, β = 113.00°, γ = 90.00°
Space group C2/m (No. 12)
Symmetry-distinct sites (fractional):
Sm 0.0000 0.0000 0.0000 (multiplicity 2)
Hg 0.0000 0.2833 0.5000 (multiplicity 4)
Hg 0.0000 0.5000 0.0000 (multiplicity 2)
Pd 0.0000 0.0000 0.5000 (multiplicity 2)
Pd 0.1811 0.2614 0.1848 (multiplicity 8)
Pd 0.2105 0.5000 0.5374 (multiplicity 4)

Peak list (10 most intense, 2θ from 15° to 90°, by angle)
21.20 deg, 4.191 Å, rel. 20
28.71 deg, 3.110 Å, rel. 46
33.70 deg, 2.659 Å, rel. 62
35.78 deg, 2.510 Å, rel. 22
37.71 deg, 2.386 Å, rel. 62
37.93 deg, 2.372 Å, rel. 100
41.47 deg, 2.178 Å, rel. 21
43.16 deg, 2.096 Å, rel. 25
44.11 deg, 2.053 Å, rel. 48
51.46 deg, 1.776 Å, rel. 29